The following is a theoretical X-ray diffraction stick pattern of CaNd2WO8. It was derived from a DFT-relaxed cell (GGA+U, Alexandria), using Cu Kα.
Lines closer than 0.1° are merged.

Top 12 peaks for 10 to 80 degrees two-theta, in order of rising 2θ:
| h k l | 2θ (°) | I_rel |
| --- | --- | --- |
| 0 0 1 | 13.22 | 100 |
| 1 0 -1 | 21.91 | 46 |
| 1 -1 0 | 26.70 | 64 |
| 1 1 0 | 27.05 | 54 |
| 1 0 -2 | 29.51 | 68 |
| 0 1 -2 | 30.90 | 45 |
| 0 1 2 | 31.86 | 40 |
| 1 -1 1 | 32.12 | 32 |
| 0 2 0 | 32.92 | 91 |
| 1 2 -2 | 44.34 | 48 |
| 2 1 -1 | 45.07 | 29 |
| -1 2 2 | 45.31 | 32 |

Crystal structure
Cell lengths 4.337, 5.439, 6.937 Å; angles 91.79, 105.06, 90.25 degrees
Space group P-1 (No. 2)
Inequivalent atoms, fractional coordinates:
1 Ca 0.000 0.000 0.000 x1
2 Nd 0.375 0.491 0.709 x2
3 W 0.000 0.000 0.500 x1
4 O 0.161 0.549 0.002 x2
5 O 0.194 0.708 0.410 x2
6 O 0.205 0.229 0.365 x2
7 O 0.324 0.045 0.761 x2